# In12Ga5Hg2
Computed XRD peak list, Cu Kα (weighted mean of Kα1 and Kα2). Input: a cell relaxed with PBE.
Kinematic intensities with the Lorentz-polarization factor, no thermal factor.

Atomic structure:
```
data_In12Ga5Hg2
_chemical_formula_sum 'In24 Ga10 Hg4'
_cell_length_a 18.540
_cell_length_b 7.995
_cell_length_c 6.605
_cell_angle_alpha 90.00
_cell_angle_beta 91.07
_cell_angle_gamma 90.00
_symmetry_space_group_name_H-M 'C 1 2/m 1'
_symmetry_Int_Tables_number 12
_symmetry_space_group_name_Hall '-C 2y'
loop_
_atom_site_label
_atom_site_type_symbol
_atom_site_fract_x
_atom_site_fract_y
_atom_site_fract_z
In1 In 0.075 0.000 0.211
In2 In 0.087 0.200 0.628
In3 In 0.141 0.500 0.999
In4 In 0.233 0.205 0.266
Ga1 Ga 0.000 0.500 0.500
Ga2 Ga 0.160 0.500 0.459
Ga3 Ga 0.188 0.000 0.895
Hg1 Hg 0.000 0.298 0.000
```

Principal peaks in the range 2θ from 5° to 70°, by angle:
Position (°2θ)	I/Imax
29.55	89.4
32.69	100.0
35.72	47.1
36.47	69.2
36.72	64.7
39.14	80.6